Entry 1:
This entry pairs a crystal structure of BaZn2 with its computed powder diffraction line list. Radiation: Cu Kα (weighted mean of Kα1 and Kα2). Structure: a structure optimized by DFT (PBE).
Kinematic intensities with the Lorentz-polarization factor, no thermal factor.

Crystal structure
```
data_BaZn2
_symmetry_space_group_name_H-M 'P 1'
_symmetry_Int_Tables_number 1
_cell_length_a 10.712
_cell_length_b 10.712
_cell_length_c 4.400
_cell_angle_alpha 90.00
_cell_angle_beta 90.00
_cell_angle_gamma 158.43
loop_
_symmetry_equiv_pos_as_xyz
'x,y,z'
loop_
_atom_site_label
_atom_site_fract_x
_atom_site_fract_y
_atom_site_fract_z
_atom_site_occupancy
Ba1 0.116 0.884 0.750 1
Ba2 0.884 0.116 0.250 1
Zn1 0.248 0.752 0.250 1
Zn2 0.473 0.527 0.750 1
Zn3 0.527 0.473 0.250 1
Zn4 0.752 0.248 0.750 1
```

The 8 most intense peaks (10° ≤ 2θ ≤ 80°), low angle first:
d (Å), two_theta, intensity
4.059, 21.9, 34
3.481, 25.6, 42
2.903, 30.8, 33
2.743, 32.6, 40
2.730, 32.8, 100
2.631, 34.1, 21
2.200, 41.0, 22
1.607, 57.3, 31

Entry 2:
This entry pairs a crystal structure of TbNd4SmSe8 with its computed powder diffraction line list. Radiation: Cu Kα (weighted mean of Kα1 and Kα2). Structure: a structure optimized by DFT (PBE).
Kinematic intensities with the Lorentz-polarization factor, no thermal factor.

Crystal structure
```
data_TbNd4SmSe8
_symmetry_space_group_name_H-M 'P 1'
_symmetry_Int_Tables_number 1
_cell_length_a 8.644
_cell_length_b 8.644
_cell_length_c 8.644
_cell_angle_alpha 60.09
_cell_angle_beta 60.09
_cell_angle_gamma 60.09
loop_
_symmetry_equiv_pos_as_xyz
'x,y,z'
loop_
_atom_site_label
_atom_site_fract_x
_atom_site_fract_y
_atom_site_fract_z
_atom_site_occupancy
Tb1 0.000 0.000 0.000 1
Nd1 0.121 0.626 0.626 1
Nd2 0.249 0.249 0.249 1
Nd3 0.626 0.121 0.626 1
Nd4 0.626 0.626 0.121 1
Sm1 0.626 0.626 0.626 1
Se1 0.382 0.382 0.382 1
Se2 0.385 0.385 0.849 1
Se3 0.385 0.849 0.385 1
Se4 0.389 0.868 0.868 1
Se5 0.849 0.385 0.385 1
Se6 0.868 0.389 0.868 1
Se7 0.868 0.868 0.389 1
Se8 0.871 0.871 0.871 1
```

The 8 most intense peaks (10° ≤ 2θ ≤ 80°), low angle first:
d (Å), two_theta, intensity
4.325, 20.5, 26
3.688, 24.1, 91
3.058, 29.2, 49
2.354, 38.2, 46
2.162, 41.8, 100
1.593, 57.9, 19
1.529, 60.6, 16
1.249, 76.2, 24

Entry 3:
This entry pairs a crystal structure of Sm3SeCl7 with its computed powder diffraction line list. Radiation: Cu Kα (weighted mean of Kα1 and Kα2). Structure: a structure optimized by DFT (PBE).
Kinematic intensities with the Lorentz-polarization factor, no thermal factor.

Crystal structure
```
data_Sm3SeCl7
_symmetry_space_group_name_H-M 'P 1'
_symmetry_Int_Tables_number 1
_cell_length_a 8.338
_cell_length_b 8.338
_cell_length_c 6.817
_cell_angle_alpha 90.00
_cell_angle_beta 90.00
_cell_angle_gamma 120.00
loop_
_symmetry_equiv_pos_as_xyz
'x,y,z'
loop_
_atom_site_label
_atom_site_fract_x
_atom_site_fract_y
_atom_site_fract_z
_atom_site_occupancy
Sm1 0.172 0.343 0.000 1
Sm2 0.172 0.828 0.000 1
Sm3 0.657 0.828 0.000 1
Se1 0.333 0.667 0.235 1
Cl1 0.000 0.000 0.776 1
Cl2 0.024 0.512 0.781 1
Cl3 0.308 0.154 0.199 1
Cl4 0.488 0.512 0.781 1
Cl5 0.488 0.976 0.781 1
Cl6 0.846 0.154 0.199 1
Cl7 0.846 0.692 0.199 1
```

The 8 most intense peaks (10° ≤ 2θ ≤ 80°), low angle first:
d (Å), two_theta, intensity
7.221, 12.3, 49
6.817, 13.0, 100
4.957, 17.9, 26
3.191, 28.0, 91
2.479, 36.2, 66
2.085, 43.4, 31
1.994, 45.5, 27
1.923, 47.3, 33

Entry 4:
This entry pairs a crystal structure of B7C5 with its computed powder diffraction line list. Radiation: Cu Kα (weighted mean of Kα1 and Kα2). Structure: a structure optimized by DFT (PBE).
Kinematic intensities with the Lorentz-polarization factor, no thermal factor.

Crystal structure
```
data_B7C5
_symmetry_space_group_name_H-M 'P 1'
_symmetry_Int_Tables_number 1
_cell_length_a 2.708
_cell_length_b 2.708
_cell_length_c 14.879
_cell_angle_alpha 90.00
_cell_angle_beta 90.00
_cell_angle_gamma 120.00
loop_
_symmetry_equiv_pos_as_xyz
'x,y,z'
loop_
_atom_site_label
_atom_site_fract_x
_atom_site_fract_y
_atom_site_fract_z
_atom_site_occupancy
B1 0.000 0.000 0.000 1
B2 0.000 0.000 0.120 1
B3 0.000 0.000 0.430 1
B4 0.333 0.667 0.250 1
B5 0.333 0.667 0.550 1
B6 0.333 0.667 0.825 1
B7 0.667 0.333 0.939 1
C1 0.000 0.000 0.540 1
C2 0.333 0.667 0.128 1
C3 0.667 0.333 0.287 1
C4 0.667 0.333 0.383 1
C5 0.667 0.333 0.833 1
```

The 8 most intense peaks (10° ≤ 2θ ≤ 80°), low angle first:
d (Å), two_theta, intensity
7.440, 11.9, 78
4.960, 17.9, 52
3.720, 23.9, 27
2.237, 40.3, 100
2.126, 42.5, 36
2.120, 42.6, 24
1.354, 69.4, 36
1.351, 69.6, 21

Entry 5:
This entry pairs a crystal structure of KTi2SbO6 with its computed powder diffraction line list. Radiation: Cu Kα (weighted mean of Kα1 and Kα2). Structure: a structure optimized by DFT (PBE).
Kinematic intensities with the Lorentz-polarization factor, no thermal factor.

Crystal structure
```
data_KTi2SbO6
_symmetry_space_group_name_H-M 'P 1'
_symmetry_Int_Tables_number 1
_cell_length_a 7.694
_cell_length_b 7.694
_cell_length_c 6.250
_cell_angle_alpha 103.74
_cell_angle_beta 103.74
_cell_angle_gamma 83.74
loop_
_symmetry_equiv_pos_as_xyz
'x,y,z'
loop_
_atom_site_label
_atom_site_fract_x
_atom_site_fract_y
_atom_site_fract_z
_atom_site_occupancy
K1 0.099 0.901 0.750 1
K2 0.901 0.099 0.250 1
Ti1 0.174 0.363 0.777 1
Ti2 0.363 0.174 0.277 1
Ti3 0.637 0.826 0.723 1
Ti4 0.826 0.637 0.223 1
Sb1 0.296 0.704 0.250 1
Sb2 0.704 0.296 0.750 1
O1 0.050 0.734 0.315 1
O2 0.164 0.596 0.894 1
O3 0.264 0.303 0.513 1
O4 0.266 0.950 0.185 1
O5 0.303 0.264 0.013 1
O6 0.404 0.836 0.606 1
O7 0.596 0.164 0.394 1
O8 0.697 0.736 0.987 1
O9 0.734 0.050 0.815 1
O10 0.736 0.697 0.487 1
O11 0.836 0.404 0.106 1
O12 0.950 0.266 0.685 1
```

The 8 most intense peaks (10° ≤ 2θ ≤ 80°), low angle first:
d (Å), two_theta, intensity
5.231, 16.9, 67
3.731, 23.8, 68
3.524, 25.3, 100
3.439, 25.9, 29
2.983, 30.0, 24
2.962, 30.2, 39
2.885, 31.0, 35
2.715, 33.0, 24

Entry 6:
This entry pairs a crystal structure of Rb2Na4Au2O with its computed powder diffraction line list. Radiation: Cu Kα (weighted mean of Kα1 and Kα2). Structure: a structure optimized by DFT (PBE).
Kinematic intensities with the Lorentz-polarization factor, no thermal factor.

Crystal structure
```
data_Rb2Na4Au2O
_symmetry_space_group_name_H-M 'P 1'
_symmetry_Int_Tables_number 1
_cell_length_a 7.457
_cell_length_b 7.457
_cell_length_c 7.457
_cell_angle_alpha 123.89
_cell_angle_beta 123.89
_cell_angle_gamma 83.38
loop_
_symmetry_equiv_pos_as_xyz
'x,y,z'
loop_
_atom_site_label
_atom_site_fract_x
_atom_site_fract_y
_atom_site_fract_z
_atom_site_occupancy
Rb1 0.245 0.245 0.000 1
Rb2 0.755 0.755 0.000 1
Na1 0.227 0.227 0.455 1
Na2 0.227 0.773 0.000 1
Na3 0.773 0.227 0.000 1
Na4 0.773 0.773 0.545 1
Au1 0.250 0.750 0.500 1
Au2 0.750 0.250 0.500 1
O1 0.000 0.000 0.000 1
```

The 8 most intense peaks (10° ≤ 2θ ≤ 80°), low angle first:
d (Å), two_theta, intensity
5.569, 15.9, 54
3.507, 25.4, 44
2.968, 30.1, 100
2.480, 36.2, 34
2.265, 39.8, 24
2.181, 41.4, 24
1.852, 49.2, 28
1.510, 61.4, 25

Entry 7:
This entry pairs a crystal structure of PmPaFe with its computed powder diffraction line list. Radiation: Cu Kα (weighted mean of Kα1 and Kα2). Structure: a structure optimized by DFT (PBE).
Kinematic intensities with the Lorentz-polarization factor, no thermal factor.

Crystal structure
```
data_PmPaFe
_symmetry_space_group_name_H-M 'P 1'
_symmetry_Int_Tables_number 1
_cell_length_a 9.446
_cell_length_b 9.446
_cell_length_c 9.446
_cell_angle_alpha 116.17
_cell_angle_beta 116.17
_cell_angle_gamma 116.17
loop_
_symmetry_equiv_pos_as_xyz
'x,y,z'
loop_
_atom_site_label
_atom_site_fract_x
_atom_site_fract_y
_atom_site_fract_z
_atom_site_occupancy
Pm1 0.107 0.363 0.278 1
Pm2 0.278 0.107 0.363 1
Pm3 0.363 0.278 0.107 1
Pm4 0.637 0.722 0.893 1
Pm5 0.722 0.893 0.637 1
Pm6 0.893 0.637 0.722 1
Pa1 0.172 0.296 0.715 1
Pa2 0.285 0.828 0.704 1
Pa3 0.296 0.715 0.172 1
Pa4 0.704 0.285 0.828 1
Pa5 0.715 0.172 0.296 1
Pa6 0.828 0.704 0.285 1
Fe1 0.174 0.742 0.345 1
Fe2 0.258 0.655 0.826 1
Fe3 0.345 0.174 0.742 1
Fe4 0.655 0.826 0.258 1
Fe5 0.742 0.345 0.174 1
Fe6 0.826 0.258 0.655 1
```

The 8 most intense peaks (10° ≤ 2θ ≤ 80°), low angle first:
d (Å), two_theta, intensity
3.177, 28.1, 100
3.031, 29.5, 28
2.673, 33.5, 27
2.604, 34.4, 55
2.280, 39.5, 33
2.270, 39.7, 35
2.224, 40.6, 43
1.533, 60.4, 32

Entry 8:
This entry pairs a crystal structure of TbLuInIr with its computed powder diffraction line list. Radiation: Cu Kα (weighted mean of Kα1 and Kα2). Structure: a structure optimized by DFT (PBE).
Kinematic intensities with the Lorentz-polarization factor, no thermal factor.

Crystal structure
```
data_TbLuInIr
_symmetry_space_group_name_H-M 'P 1'
_symmetry_Int_Tables_number 1
_cell_length_a 5.036
_cell_length_b 5.036
_cell_length_c 5.036
_cell_angle_alpha 60.00
_cell_angle_beta 60.00
_cell_angle_gamma 60.00
loop_
_symmetry_equiv_pos_as_xyz
'x,y,z'
loop_
_atom_site_label
_atom_site_fract_x
_atom_site_fract_y
_atom_site_fract_z
_atom_site_occupancy
Tb1 0.000 0.000 0.000 1
Lu1 0.500 0.500 0.500 1
In1 0.750 0.750 0.750 1
Ir1 0.250 0.250 0.250 1
```

The 8 most intense peaks (10° ≤ 2θ ≤ 80°), low angle first:
d (Å), two_theta, intensity
4.112, 21.6, 3
2.518, 35.7, 100
2.147, 42.1, 2
1.780, 51.3, 18
1.634, 56.3, 1
1.454, 64.1, 36
1.259, 75.5, 11
1.204, 79.6, 1

Entry 9:
This entry pairs a crystal structure of NaMgTi3O7F with its computed powder diffraction line list. Radiation: Cu Kα (weighted mean of Kα1 and Kα2). Structure: a structure optimized by DFT (PBE).
Kinematic intensities with the Lorentz-polarization factor, no thermal factor.

Crystal structure
```
data_NaMgTi3O7F
_symmetry_space_group_name_H-M 'P 1'
_symmetry_Int_Tables_number 1
_cell_length_a 3.633
_cell_length_b 9.519
_cell_length_c 10.902
_cell_angle_alpha 90.00
_cell_angle_beta 90.00
_cell_angle_gamma 90.00
loop_
_symmetry_equiv_pos_as_xyz
'x,y,z'
loop_
_atom_site_label
_atom_site_fract_x
_atom_site_fract_y
_atom_site_fract_z
_atom_site_occupancy
Na1 0.000 0.150 0.000 1
Na2 0.000 0.850 0.500 1
Mg1 0.000 0.324 0.268 1
Mg2 0.000 0.676 0.768 1
Ti1 0.000 0.469 0.527 1
Ti2 0.000 0.531 0.027 1
Ti3 0.500 0.042 0.287 1
Ti4 0.500 0.200 0.556 1
Ti5 0.500 0.800 0.056 1
Ti6 0.500 0.958 0.787 1
O1 0.000 0.093 0.240 1
O2 0.000 0.224 0.510 1
O3 0.000 0.360 0.093 1
O4 0.000 0.493 0.370 1
O5 0.000 0.507 0.870 1
O6 0.000 0.640 0.593 1
O7 0.000 0.776 0.010 1
O8 0.000 0.907 0.740 1
O9 0.500 0.011 0.450 1
O10 0.500 0.131 0.712 1
O11 0.500 0.399 0.575 1
O12 0.500 0.601 0.075 1
O13 0.500 0.869 0.212 1
O14 0.500 0.989 0.950 1
F1 0.500 0.262 0.314 1
F2 0.500 0.738 0.814 1
```

The 8 most intense peaks (10° ≤ 2θ ≤ 80°), low angle first:
d (Å), two_theta, intensity
7.171, 12.3, 100
4.730, 18.8, 37
3.394, 26.3, 67
3.241, 27.5, 32
2.742, 32.7, 25
2.726, 32.9, 30
2.325, 38.7, 17
1.816, 50.2, 22

Entry 10:
This entry pairs a crystal structure of FeAs2RhI with its computed powder diffraction line list. Radiation: Cu Kα (weighted mean of Kα1 and Kα2). Structure: a structure optimized by DFT (PBE).
Kinematic intensities with the Lorentz-polarization factor, no thermal factor.

Crystal structure
```
data_FeAs2RhI
_symmetry_space_group_name_H-M 'P 1'
_symmetry_Int_Tables_number 1
_cell_length_a 5.345
_cell_length_b 5.345
_cell_length_c 4.594
_cell_angle_alpha 90.00
_cell_angle_beta 90.00
_cell_angle_gamma 90.00
loop_
_symmetry_equiv_pos_as_xyz
'x,y,z'
loop_
_atom_site_label
_atom_site_fract_x
_atom_site_fract_y
_atom_site_fract_z
_atom_site_occupancy
Fe1 0.000 0.000 0.000 1
As1 0.000 0.500 0.500 1
As2 0.500 0.000 0.500 1
Rh1 0.500 0.500 0.000 1
I1 0.000 0.000 0.500 1
```

The 8 most intense peaks (10° ≤ 2θ ≤ 80°), low angle first:
d (Å), two_theta, intensity
3.484, 25.6, 60
2.919, 30.6, 49
2.672, 33.5, 100
2.297, 39.2, 32
2.120, 42.6, 30
1.890, 48.2, 35
1.742, 52.5, 54
1.459, 63.8, 30

Q: Which formula does entry 5 have?
A: KTi2SbO6

Please write out number 5 again, unchanged.
This entry pairs a crystal structure of KTi2SbO6 with its computed powder diffraction line list. Radiation: Cu Kα (weighted mean of Kα1 and Kα2). Structure: a structure optimized by DFT (PBE).
Kinematic intensities with the Lorentz-polarization factor, no thermal factor.

Crystal structure
```
data_KTi2SbO6
_symmetry_space_group_name_H-M 'P 1'
_symmetry_Int_Tables_number 1
_cell_length_a 7.694
_cell_length_b 7.694
_cell_length_c 6.250
_cell_angle_alpha 103.74
_cell_angle_beta 103.74
_cell_angle_gamma 83.74
loop_
_symmetry_equiv_pos_as_xyz
'x,y,z'
loop_
_atom_site_label
_atom_site_fract_x
_atom_site_fract_y
_atom_site_fract_z
_atom_site_occupancy
K1 0.099 0.901 0.750 1
K2 0.901 0.099 0.250 1
Ti1 0.174 0.363 0.777 1
Ti2 0.363 0.174 0.277 1
Ti3 0.637 0.826 0.723 1
Ti4 0.826 0.637 0.223 1
Sb1 0.296 0.704 0.250 1
Sb2 0.704 0.296 0.750 1
O1 0.050 0.734 0.315 1
O2 0.164 0.596 0.894 1
O3 0.264 0.303 0.513 1
O4 0.266 0.950 0.185 1
O5 0.303 0.264 0.013 1
O6 0.404 0.836 0.606 1
O7 0.596 0.164 0.394 1
O8 0.697 0.736 0.987 1
O9 0.734 0.050 0.815 1
O10 0.736 0.697 0.487 1
O11 0.836 0.404 0.106 1
O12 0.950 0.266 0.685 1
```

The 8 most intense peaks (10° ≤ 2θ ≤ 80°), low angle first:
d (Å), two_theta, intensity
5.231, 16.9, 67
3.731, 23.8, 68
3.524, 25.3, 100
3.439, 25.9, 29
2.983, 30.0, 24
2.962, 30.2, 39
2.885, 31.0, 35
2.715, 33.0, 24

Q: Number 1 is which compound?
A: BaZn2